[1]
Theoretical powder X-ray diffraction pattern
Compound: K3Cd3Au2
Radiation: Cu Kα
Structure: a PBE-relaxed structure
No peak broadening, texture or thermal motion is included.

Principal peaks in the range 15 to 90 degrees two-theta, sorted by position:
2θ (°), Rel. int.
20.2, 981
21.4, 555
28.5, 741
29.2, 628
32.8, 700
33.7, 585
35.7, 901
36.5, 1000
41.7, 909
50.6, 364

Structural model:
a = 6.4824 Å, b = 6.4824 Å, c = 17.2437 Å
α = 90.00°, β = 90.00°, γ = 135.42°
Fractional coordinates of all 16 atoms:
K1 0.0742 0.9258 0.6070
K2 0.0742 0.9258 0.8930
K3 0.3749 0.6251 0.7500
K4 0.6251 0.3749 0.2500
K5 0.9258 0.0742 0.1070
K6 0.9258 0.0742 0.3930
Cd1 0.3267 0.6733 0.2500
Cd2 0.3607 0.6393 0.5338
Cd3 0.3607 0.6393 0.9662
Cd4 0.6393 0.3607 0.0338
Cd5 0.6393 0.3607 0.4662
Cd6 0.6733 0.3267 0.7500
Au1 0.2143 0.7857 0.1058
Au2 0.2143 0.7857 0.3942
Au3 0.7857 0.2143 0.6058
Au4 0.7857 0.2143 0.8942

***

[2]
Theoretical powder X-ray diffraction pattern
Compound: Hf6SiN2
Radiation: Cu Kα
Structure: a PBE-relaxed structure
No peak broadening, texture or thermal motion is included.

Principal peaks in the range 15 to 90 degrees two-theta, sorted by position:
2θ (°), Rel. int.
31.1, 749
34.9, 1000
38.2, 284
41.7, 273
51.1, 92
55.5, 146
57.8, 204
62.3, 86
69.6, 127
71.8, 92

Structural model:
a = 5.7676 Å, b = 5.7676 Å, c = 7.7200 Å
α = 114.11°, β = 114.11°, γ = 44.09°
Fractional coordinates of all 9 atoms:
Hf1 0.0191 0.0191 0.1923
Hf2 0.3097 0.3097 0.9187
Hf3 0.3355 0.3355 0.4196
Hf4 0.6645 0.6645 0.5804
Hf5 0.6903 0.6903 0.0813
Hf6 0.9809 0.9809 0.8077
Si1 0.0000 0.0000 0.5000
N1 0.1808 0.1808 0.0854
N2 0.8192 0.8192 0.9146

***

[3]
Theoretical powder X-ray diffraction pattern
Compound: TiBO6
Radiation: Cu Kα
Structure: a PBE-relaxed structure
No peak broadening, texture or thermal motion is included.

Principal peaks in the range 15 to 90 degrees two-theta, sorted by position:
2θ (°), Rel. int.
21.6, 124
25.0, 1000
35.6, 53
42.0, 203
51.2, 276
56.2, 146
57.8, 240
68.3, 43
75.4, 123
80.9, 95

Structural model:
a = 5.0431 Å, b = 5.0431 Å, c = 5.0431 Å
α = 60.00°, β = 60.00°, γ = 60.00°
Fractional coordinates of all 8 atoms:
Ti1 0.0000 0.0000 0.0000
B1 0.5000 0.5000 0.5000
O1 0.2719 0.2719 0.7281
O2 0.2719 0.7281 0.2719
O3 0.2719 0.7281 0.7281
O4 0.7281 0.2719 0.2719
O5 0.7281 0.2719 0.7281
O6 0.7281 0.7281 0.2719

***

[4]
Theoretical powder X-ray diffraction pattern
Compound: AcRe3N8
Radiation: Cu Kα
Structure: a PBE-relaxed structure
No peak broadening, texture or thermal motion is included.

Principal peaks in the range 15 to 90 degrees two-theta, sorted by position:
2θ (°), Rel. int.
17.9, 323
22.1, 877
31.3, 976
31.7, 1000
45.1, 438
50.6, 200
55.7, 195
55.9, 431
63.1, 284
74.4, 185

Structural model:
a = 5.7159 Å, b = 5.7159 Å, c = 6.8798 Å
α = 90.00°, β = 90.00°, γ = 120.00°
Fractional coordinates of all 12 atoms:
Ac1 0.0000 0.0000 0.0000
Re1 0.0000 0.0000 0.5000
Re2 0.3333 0.6667 0.7571
Re3 0.6667 0.3333 0.2429
N1 0.1569 0.3138 0.6740
N2 0.1569 0.8431 0.6740
N3 0.3138 0.1569 0.3260
N4 0.3333 0.6667 0.0131
N5 0.6667 0.3333 0.9869
N6 0.6862 0.8431 0.6740
N7 0.8431 0.1569 0.3260
N8 0.8431 0.6862 0.3260

***

[5]
Theoretical powder X-ray diffraction pattern
Compound: Ca4Sb6Rh7
Radiation: Cu Kα
Structure: a PBE-relaxed structure
No peak broadening, texture or thermal motion is included.

Principal peaks in the range 15 to 90 degrees two-theta, sorted by position:
2θ (°), Rel. int.
20.2, 507
32.2, 202
35.3, 1000
38.3, 299
41.0, 659
43.7, 364
48.5, 345
59.4, 269
72.9, 219
80.2, 209

Structural model:
a = 7.6189 Å, b = 7.6189 Å, c = 7.6189 Å
α = 109.47°, β = 109.47°, γ = 109.47°
Fractional coordinates of all 17 atoms:
Ca1 0.0000 0.0000 0.5000
Ca2 0.0000 0.5000 0.0000
Ca3 0.5000 0.0000 0.0000
Ca4 0.5000 0.5000 0.5000
Sb1 0.0000 0.3188 0.3188
Sb2 0.0000 0.6812 0.6812
Sb3 0.3188 0.0000 0.3188
Sb4 0.3188 0.3188 0.0000
Sb5 0.6812 0.0000 0.6812
Sb6 0.6812 0.6812 0.0000
Rh1 0.0000 0.0000 0.0000
Rh2 0.2500 0.5000 0.7500
Rh3 0.2500 0.7500 0.5000
Rh4 0.5000 0.2500 0.7500
Rh5 0.5000 0.7500 0.2500
Rh6 0.7500 0.2500 0.5000
Rh7 0.7500 0.5000 0.2500

***

[6]
Theoretical powder X-ray diffraction pattern
Compound: RbMn6As4
Radiation: Cu Kα
Structure: a PBE-relaxed structure
No peak broadening, texture or thermal motion is included.

Principal peaks in the range 15 to 90 degrees two-theta, sorted by position:
2θ (°), Rel. int.
28.5, 1000
33.1, 248
42.8, 344
46.4, 474
47.9, 626
55.3, 301
67.7, 144
82.7, 89
83.5, 87
87.1, 210

Structural model:
a = 13.3576 Å, b = 13.3576 Å, c = 13.3576 Å
α = 163.14°, β = 163.14°, γ = 23.93°
Fractional coordinates of all 11 atoms:
Rb1 0.0000 0.0000 0.0000
Mn1 0.1406 0.6406 0.5000
Mn2 0.2500 0.7500 0.5000
Mn3 0.3594 0.8594 0.5000
Mn4 0.6406 0.1406 0.5000
Mn5 0.7500 0.2500 0.5000
Mn6 0.8594 0.3594 0.5000
As1 0.1938 0.1938 0.0000
As2 0.4142 0.4142 0.0000
As3 0.5858 0.5858 0.0000
As4 0.8062 0.8062 0.0000